TlSbSe2: calculated PXRD pattern (copper Kα), based on a PBE-relaxed structure.
Intensities are scaled so that the largest is 100.

Atomic structure:
Lattice parameters (Å, degrees): 9.2640 4.1578 12.9996 90.00 108.47 90.00
Space group P2_1 (No. 4)
Inequivalent atoms, fractional coordinates:
Tl 0.0589 0.0000 0.3628 x2
Tl 0.3190 0.4937 0.8618 x2
Sb 0.1812 0.9936 0.1061 x2
Sb 0.4180 0.5010 0.6085 x2
Se 0.0620 0.9945 0.8944 x2
Se 0.2100 0.9992 0.6101 x2
Se 0.3497 0.4992 0.3962 x2
Se 0.3875 0.4942 0.1153 x2

Largest 10 diffraction maxima, by angle, 2θ from 10° to 90°:
2θ = 22.57°, I 23, (0 1 1)
2θ = 28.97°, I 80, (0 0 4)
2θ = 29.58°, I 100, (2 1 0)
2θ = 29.98°, I 73, (2 1 -2)
2θ = 35.85°, I 31, (2 1 2)
2θ = 36.85°, I 42, (2 1 -4)
2θ = 38.92°, I 33, (4 0 -2)
2θ = 43.53°, I 30, (0 2 0)
2θ = 46.45°, I 28, (2 1 4)
2θ = 53.14°, I 29, (0 2 4)



Tl2Sb2Se5: calculated PXRD pattern (copper Kα), based on a PBE-relaxed structure.
Intensities are scaled so that the largest is 100.

Atomic structure:
Lattice parameters (Å, degrees): 4.3671 8.4980 8.5862 65.35 84.29 78.57
Space group P-1 (No. 2)
Inequivalent atoms, fractional coordinates:
Tl 0.0759 0.3839 0.2988 x2
Sb 0.3299 0.8617 0.2297 x2
Se 0.1893 0.2048 0.9598 x2
Se 0.3544 0.9693 0.6330 x2
Se 0.5000 0.5000 0.5000 x1

Largest 10 diffraction maxima, by angle, 2θ from 10° to 90°:
2θ = 22.00°, I 34, (1 1 0)
2θ = 29.76°, I 100, (1 2 2)
2θ = 29.84°, I 28, (1 -1 1)
2θ = 30.04°, I 77, (0 2 -1)
2θ = 31.38°, I 71, (-1 1 2)
2θ = 32.89°, I 26, (0 2 3)
2θ = 40.23°, I 30, (1 0 3)
2θ = 41.83°, I 31, (2 1 0)
2θ = 45.23°, I 30, (1 4 1)
2θ = 45.69°, I 49, (1 1 -3)



Tl4SbSe6: calculated PXRD pattern (copper Kα), based on a PBE-relaxed structure.
Intensities are scaled so that the largest is 100.

Atomic structure:
Lattice parameters (Å, degrees): 13.5230 8.7836 13.0363 90.00 108.30 90.00
Space group Cc (No. 9)
Inequivalent atoms, fractional coordinates:
Tl 0.0000 0.0382 0.0000 x4
Tl 0.1772 0.1815 0.3415 x4
Tl 0.2995 0.3881 0.6808 x4
Tl 0.4828 0.0875 0.2332 x4
Sb 0.2654 0.2929 0.9706 x4
Se 0.1387 0.4668 0.4969 x4
Se 0.1851 0.2057 0.7716 x4
Se 0.2146 0.0551 0.0605 x4
Se 0.3696 0.3626 0.3051 x4
Se 0.4580 0.2547 0.6345 x4
Se 0.4736 0.2247 0.0021 x4

Largest 10 diffraction maxima, by angle, 2θ from 10° to 90°:
2θ = 20.45°, I 40, (1 1 2)
2θ = 21.47°, I 68, (0 2 1)
2θ = 22.86°, I 38, (2 0 2)
2θ = 23.53°, I 100, (3 1 -2)
2θ = 26.18°, I 72, (2 2 -2)
2θ = 26.69°, I 82, (1 1 3)
2θ = 27.80°, I 65, (4 0 0)
2θ = 29.79°, I 63, (2 2 -3)
2θ = 30.64°, I 37, (3 1 2)
2θ = 37.21°, I 47, (3 3 0)



Tm6Sb5Se: calculated PXRD pattern (copper Kα), based on a PBE-relaxed structure.
Intensities are scaled so that the largest is 100.

Atomic structure:
Lattice parameters (Å, degrees): 7.4321 12.8586 7.4285 90.00 109.48 90.00
Space group C2/m (No. 12)
Inequivalent atoms, fractional coordinates:
Tm 0.2445 0.0000 0.2495 x4
Tm 0.2459 0.1640 0.7464 x8
Sb 0.0000 0.1689 0.0000 x4
Sb 0.0000 0.3338 0.5000 x4
Sb 0.0000 0.5000 0.0000 x2
Se 0.0000 0.0000 0.5000 x2

Largest 10 diffraction maxima, by angle, 2θ from 10° to 90°:
2θ = 25.44°, I 7, (0 0 2)
2θ = 29.45°, I 100, (1 3 1)
2θ = 42.14°, I 76, (1 3 -3)
2θ = 49.87°, I 4, (2 0 -4)
2θ = 52.25°, I 27, (0 0 4)
2θ = 61.12°, I 12, (4 0 -4)
2θ = 67.28°, I 1, (1 3 -5)
2θ = 69.28°, I 34, (3 3 -5)
2θ = 77.03°, I 25, (2 0 -6)
2θ = 82.65°, I 1, (4 0 -6)



USb3Se6: calculated PXRD pattern (copper Kα), based on a PBE-relaxed structure.
Intensities are scaled so that the largest is 100.

Atomic structure:
Lattice parameters (Å, degrees): 11.9127 4.0006 12.3636 90.00 101.63 90.00
Space group P2_1/m (No. 11)
Inequivalent atoms, fractional coordinates:
U 0.1802 0.2500 0.0289 x2
Sb 0.0301 0.7500 0.3076 x2
Sb 0.3495 0.2500 0.4155 x2
Sb 0.4131 0.7500 0.8412 x2
Se 0.0423 0.7500 0.8914 x2
Se 0.1219 0.2500 0.4515 x2
Se 0.2150 0.7500 0.2160 x2
Se 0.2576 0.2500 0.8002 x2
Se 0.3757 0.7500 0.0472 x2
Se 0.3908 0.7500 0.5661 x2

Largest 10 diffraction maxima, by angle, 2θ from 10° to 90°:
2θ = 21.80°, I 56, (1 0 -3)
2θ = 28.62°, I 77, (1 1 2)
2θ = 28.88°, I 60, (2 1 1)
2θ = 31.24°, I 65, (4 0 -2)
2θ = 31.48°, I 100, (0 1 3)
2θ = 32.35°, I 85, (2 1 2)
2θ = 37.98°, I 49, (2 1 -4)
2θ = 38.63°, I 49, (5 0 0)
2θ = 40.15°, I 56, (4 1 1)
2θ = 45.34°, I 63, (0 2 0)



U2SbSe2: calculated PXRD pattern (copper Kα), based on a PBE-relaxed structure.
Intensities are scaled so that the largest is 100.

Atomic structure:
Lattice parameters (Å, degrees): 2.8253 2.8253 16.5576 90.00 90.00 90.00
Space group P4/mmm (No. 123)
Inequivalent atoms, fractional coordinates:
U 0.0000 0.0000 0.1935 x2
Sb 0.0000 0.0000 0.0000 x1
Se 0.0000 0.0000 0.3674 x2

Largest 10 diffraction maxima, by angle, 2θ from 10° to 90°:
2θ = 10.69°, I 61, (0 0 2)
2θ = 26.92°, I 59, (0 0 5)
2θ = 31.67°, I 100, (1 0 0)
2θ = 33.51°, I 18, (1 0 2)
2θ = 42.04°, I 72, (1 0 5)
2θ = 45.40°, I 37, (1 1 0)
2θ = 45.97°, I 22, (1 0 6)
2θ = 53.57°, I 36, (1 1 5)
2θ = 75.20°, I 17, (2 1 0)
2θ = 81.54°, I 23, (2 1 5)



SbWSe2: calculated PXRD pattern (copper Kα), based on a PBE-relaxed structure.
Intensities are scaled so that the largest is 100.

Atomic structure:
Lattice parameters (Å, degrees): 5.6593 5.7941 7.0446 95.93 112.59 103.27
Space group P-1 (No. 2)
Inequivalent atoms, fractional coordinates:
Sb 0.1450 0.4265 0.2101 x2
W 0.4182 0.7038 0.9883 x2
Se 0.1793 0.3095 0.6981 x2
Se 0.4516 0.0737 0.2504 x2

Largest 10 diffraction maxima, by angle, 2θ from 10° to 90°:
2θ = 13.94°, I 100, (0 0 1)
2θ = 16.09°, I 30, (0 1 0)
2θ = 17.76°, I 27, (1 0 0)
2θ = 26.94°, I 27, (1 0 1)
2θ = 30.44°, I 50, (1 1 -2)
2θ = 34.82°, I 32, (2 -1 0)
2θ = 34.96°, I 55, (-1 2 1)
2θ = 38.42°, I 24, (0 2 -2)
2θ = 42.79°, I 22, (-1 2 2)
2θ = 47.30°, I 23, (1 1 2)



ZrSb3Se: calculated PXRD pattern (copper Kα), based on a PBE-relaxed structure.
Intensities are scaled so that the largest is 100.

Atomic structure:
Lattice parameters (Å, degrees): 5.5089 5.5089 5.5089 90.00 90.00 90.00
Space group Pm-3m (No. 221)
Inequivalent atoms, fractional coordinates:
Zr 0.0000 0.0000 0.0000 x1
Sb 0.0000 0.0000 0.5000 x3
Se 0.5000 0.5000 0.5000 x1

Largest 10 diffraction maxima, by angle, 2θ from 10° to 90°:
2θ = 16.09°, I 36, (1 0 0)
2θ = 28.05°, I 83, (1 1 1)
2θ = 32.51°, I 100, (2 0 0)
2θ = 36.47°, I 18, (2 1 0)
2θ = 46.63°, I 72, (2 2 0)
2θ = 55.31°, I 37, (3 1 1)
2θ = 57.99°, I 25, (2 2 2)
2θ = 75.18°, I 15, (3 3 1)
2θ = 77.49°, I 31, (4 2 0)
2θ = 86.56°, I 24, (4 2 2)



ZrSbSe: calculated PXRD pattern (copper Kα), based on a PBE-relaxed structure.
Intensities are scaled so that the largest is 100.

Atomic structure:
Lattice parameters (Å, degrees): 5.6703 13.9109 7.4292 90.00 90.00 90.00
Space group Cmce (No. 64)
Inequivalent atoms, fractional coordinates:
Zr 0.0000 0.1265 0.0765 x8
Sb 0.2500 0.0454 0.7500 x8
Se 0.0000 0.1977 0.4094 x8

Largest 10 diffraction maxima, by angle, 2θ from 10° to 90°:
2θ = 20.71°, I 25, (1 1 1)
2θ = 27.22°, I 79, (0 2 2)
2θ = 28.34°, I 100, (0 4 1)
2θ = 34.15°, I 72, (2 2 0)
2θ = 34.75°, I 42, (1 3 2)
2θ = 36.29°, I 80, (2 2 1)
2θ = 38.01°, I 58, (1 5 1)
2θ = 38.59°, I 78, (0 2 3)
2θ = 40.01°, I 72, (2 0 2)
2θ = 55.94°, I 44, (2 4 3)



SiSb: calculated PXRD pattern (copper Kα), based on a PBE-relaxed structure.
Intensities are scaled so that the largest is 100.

Atomic structure:
Lattice parameters (Å, degrees): 3.5390 4.0397 16.3415 90.00 90.00 90.00
Space group Imma (No. 74)
Inequivalent atoms, fractional coordinates:
Si 0.0000 0.2500 0.2051 x4
Sb 0.0000 0.2500 0.8962 x4

Largest 10 diffraction maxima, by angle, 2θ from 10° to 90°:
2θ = 21.75°, I 43, (0 0 4)
2θ = 25.76°, I 74, (1 0 1)
2θ = 27.49°, I 100, (0 1 3)
2θ = 35.47°, I 60, (1 1 2)
2θ = 37.46°, I 21, (1 0 5)
2θ = 40.44°, I 31, (1 1 4)
2θ = 44.85°, I 42, (0 2 0)
2θ = 47.78°, I 31, (1 1 6)
2θ = 59.50°, I 22, (2 1 3)
2θ = 70.77°, I 21, (2 2 0)



SmSiSb: calculated PXRD pattern (copper Kα), based on a PBE-relaxed structure.
Intensities are scaled so that the largest is 100.

Atomic structure:
Lattice parameters (Å, degrees): 5.7724 5.7724 10.0151 90.00 90.00 90.00
Space group I4_1md (No. 109)
Inequivalent atoms, fractional coordinates:
Sm 0.0000 0.0000 0.0000 x4
Si 0.0000 0.0000 0.7161 x4
Sb 0.0000 0.0000 0.4518 x4

Largest 10 diffraction maxima, by angle, 2θ from 10° to 90°:
2θ = 28.21°, I 100, (1 1 2)
2θ = 30.98°, I 84, (2 0 0)
2θ = 35.87°, I 17, (0 0 4)
2θ = 44.38°, I 37, (2 2 0)
2θ = 48.11°, I 33, (2 0 4)
2θ = 53.43°, I 34, (3 1 2)
2θ = 58.32°, I 22, (2 2 4)
2θ = 64.57°, I 12, (4 0 0)
2θ = 73.34°, I 14, (4 2 0)
2θ = 76.07°, I 11, (2 1 7)